Record 1
Diffraction record for CaCo2H6. The XRD peak list is simulated, not measured: it uses a DFT-relaxed cell (GGA-PBE, Alexandria) and λ = 1.5418 Å (Cu Kα).
No peak broadening, texture or thermal motion is included.

Most intense lines, 2θ = 15–90°, low angle first:
| 2θ (°) | I/Imax | (hkl) |
| --- | --- | --- |
| 19.05 | 24 | 1 1 1 |
| 31.35 | 15 | 2 2 0 |
| 36.94 | 100 | 3 1 1 |
| 38.65 | 53 | 2 2 2 |
| 44.93 | 10 | 4 0 0 |
| 55.81 | 5 | 4 2 2 |
| 59.52 | 29 | 3 3 3 |
| 65.42 | 28 | 4 4 0 |
| 77.57 | 9 | 5 3 3 |
| 78.64 | 17 | 6 2 2 |

Atomic structure:
a = 8.070 Å, b = 8.070 Å, c = 8.070 Å
α = 90.00°, β = 90.00°, γ = 90.00°
Space group Fd-3m (No. 227, origin choice 2)
One atom of each set of equivalent atoms:
Ca 0.125 0.125 0.125 (multiplicity 8)
Co 0.000 0.000 0.500 (multiplicity 16)
H 0.090 0.375 0.875 (multiplicity 48)

---

Record 2
Diffraction record for Ac2DyTmS6. The XRD peak list is simulated, not measured: it uses a DFT-relaxed cell (GGA-PBE, Alexandria) and λ = 1.5418 Å (Cu Kα).
No peak broadening, texture or thermal motion is included.

Most intense lines, 2θ = 15–90°, low angle first:
| 2θ (°) | I/Imax | (hkl) |
| --- | --- | --- |
| 19.52 | 20 | 1 1 -2 |
| 23.68 | 17 | 0 2 0 |
| 24.83 | 100 | 1 1 -3 |
| 25.73 | 23 | 2 0 -2 |
| 35.25 | 17 | 2 2 -2 |
| 35.55 | 17 | 0 0 4 |
| 36.39 | 14 | 2 2 -3 |
| 39.28 | 17 | 1 3 -2 |
| 44.40 | 15 | 2 0 2 |
| 44.82 | 27 | 3 1 -5 |

Atomic structure:
a = 6.926 Å, b = 7.514 Å, c = 12.234 Å
α = 90.00°, β = 124.35°, γ = 90.00°
Space group P2_1/c (No. 14)
One atom of each set of equivalent atoms:
Ac 0.220 0.087 0.250 (multiplicity 4)
Dy 0.500 0.000 0.000 (multiplicity 2)
Tm 0.000 0.000 0.500 (multiplicity 2)
S 0.120 0.193 0.937 (multiplicity 4)
S 0.251 0.690 0.937 (multiplicity 4)
S 0.373 0.042 0.748 (multiplicity 4)

---

Record 3
Diffraction record for Tb4B3PdPt12. The XRD peak list is simulated, not measured: it uses a DFT-relaxed cell (GGA-PBE, Alexandria) and λ = 1.5418 Å (Cu Kα).
No peak broadening, texture or thermal motion is included.

Most intense lines, 2θ = 15–90°, low angle first:
| 2θ (°) | I/Imax | (hkl) |
| --- | --- | --- |
| 19.88 | 4 | 2 0 0 |
| 34.80 | 100 | 2 2 2 |
| 37.69 | 5 | 3 2 1 |
| 40.40 | 59 | 4 0 0 |
| 47.77 | 5 | 3 3 2 |
| 58.46 | 38 | 4 4 0 |
| 69.86 | 35 | 6 2 2 |
| 73.46 | 12 | 4 4 4 |
| 78.74 | 5 | 6 3 3 |
| 87.35 | 6 | 8 0 0 |

Atomic structure:
a = 8.931 Å, b = 8.931 Å, c = 8.931 Å
α = 90.00°, β = 90.00°, γ = 90.00°
Space group Im-3m (No. 229)
One atom of each set of equivalent atoms:
Tb 0.250 0.250 0.250 (multiplicity 8)
B 0.000 0.000 0.500 (multiplicity 6)
Pd 0.000 0.000 0.000 (multiplicity 2)
Pt 0.000 0.000 0.281 (multiplicity 12)
Pt 0.000 0.250 0.500 (multiplicity 12)

---

Record 4
Diffraction record for Li2SnTe3. The XRD peak list is simulated, not measured: it uses a DFT-relaxed cell (GGA-PBE, Alexandria) and λ = 1.5418 Å (Cu Kα).
No peak broadening, texture or thermal motion is included.

Most intense lines, 2θ = 15–90°, low angle first:
| 2θ (°) | I/Imax | (hkl) |
| --- | --- | --- |
| 23.86 | 29 | 2 0 0 |
| 23.99 | 100 | 0 0 2 |
| 27.38 | 20 | 1 3 1 |
| 39.02 | 14 | 2 0 2 |
| 39.21 | 14 | 0 6 0 |
| 39.80 | 28 | 3 3 -1 |
| 39.97 | 26 | 1 3 -3 |
| 46.26 | 13 | 3 3 1 |
| 46.44 | 30 | 0 6 2 |
| 47.77 | 14 | 3 3 -3 |

Atomic structure:
a = 7.814 Å, b = 13.786 Å, c = 7.773 Å
α = 90.00°, β = 107.36°, γ = 90.00°
Space group Cc (No. 9)
One atom of each set of equivalent atoms:
Li 0.000 0.089 0.000 (multiplicity 4)
Li 0.032 0.251 0.517 (multiplicity 4)
Sn 0.039 0.413 0.032 (multiplicity 4)
Te 0.392 0.083 0.146 (multiplicity 4)
Te 0.398 0.247 0.650 (multiplicity 4)
Te 0.406 0.417 0.127 (multiplicity 4)

---

Record 5
Diffraction record for CsScSnF6. The XRD peak list is simulated, not measured: it uses a DFT-relaxed cell (GGA-PBE, Alexandria) and λ = 1.5418 Å (Cu Kα).
No peak broadening, texture or thermal motion is included.

Most intense lines, 2θ = 15–90°, low angle first:
| 2θ (°) | I/Imax | (hkl) |
| --- | --- | --- |
| 22.50 | 100 | 1 1 1 |
| 22.63 | 49 | 1 -1 0 |
| 29.29 | 32 | 0 1 2 |
| 29.54 | 16 | 0 2 1 |
| 37.16 | 16 | 1 0 2 |
| 37.37 | 15 | 1 2 0 |
| 37.50 | 15 | -1 2 2 |
| 42.39 | 25 | 2 1 -1 |
| 42.51 | 21 | 2 -1 1 |
| 47.99 | 13 | 1 1 -2 |

Atomic structure:
a = 5.952 Å, b = 6.047 Å, c = 6.098 Å
α = 60.30°, β = 89.94°, γ = 89.72°
Space group P1 (No. 1)
One atom of each set of equivalent atoms:
Cs 0.000 0.000 0.000 (multiplicity 1)
Sc 0.549 0.667 0.667 (multiplicity 1)
Sn 0.505 0.333 0.333 (multiplicity 1)
F 0.364 0.374 0.910 (multiplicity 1)
F 0.369 0.721 0.368 (multiplicity 1)
F 0.373 0.922 0.716 (multiplicity 1)
F 0.738 0.439 0.562 (multiplicity 1)
F 0.740 0.558 0.996 (multiplicity 1)
F 0.741 0.996 0.442 (multiplicity 1)

---

Record 6
Diffraction record for PSe2S4. The XRD peak list is simulated, not measured: it uses a DFT-relaxed cell (GGA-PBE, Alexandria) and λ = 1.5418 Å (Cu Kα).
No peak broadening, texture or thermal motion is included.

Most intense lines, 2θ = 15–90°, low angle first:
| 2θ (°) | I/Imax | (hkl) |
| --- | --- | --- |
| 19.18 | 99 | 2 0 0 |
| 20.93 | 43 | 0 2 1 |
| 21.10 | 63 | 1 1 -2 |
| 21.35 | 90 | 2 0 -2 |
| 24.96 | 39 | 2 2 -1 |
| 26.39 | 100 | 2 2 0 |
| 29.16 | 40 | 1 3 -1 |
| 30.60 | 43 | 1 1 -3 |
| 39.05 | 26 | 1 1 3 |
| 42.57 | 36 | 3 3 -3 |

Atomic structure:
a = 10.384 Å, b = 9.878 Å, c = 9.311 Å
α = 90.00°, β = 116.95°, γ = 90.00°
Space group Cc (No. 9)
One atom of each set of equivalent atoms:
P 0.000 0.137 0.000 (multiplicity 4)
Se 0.067 0.209 0.555 (multiplicity 4)
Se 0.156 0.413 0.191 (multiplicity 4)
S 0.006 0.246 0.202 (multiplicity 4)
S 0.011 0.256 0.837 (multiplicity 4)
S 0.169 0.015 0.588 (multiplicity 4)
S 0.302 0.478 0.435 (multiplicity 4)

---

Record 7
Diffraction record for Mn5CoS8. The XRD peak list is simulated, not measured: it uses a DFT-relaxed cell (GGA-PBE, Alexandria) and λ = 1.5418 Å (Cu Kα).
No peak broadening, texture or thermal motion is included.

Most intense lines, 2θ = 15–90°, low angle first:
| 2θ (°) | I/Imax | (hkl) |
| --- | --- | --- |
| 15.71 | 12 | 1 1 1 |
| 25.79 | 32 | 2 2 0 |
| 30.34 | 100 | 3 1 1 |
| 36.79 | 53 | 4 0 0 |
| 45.47 | 13 | 4 2 2 |
| 48.40 | 45 | 5 1 1 |
| 53.01 | 90 | 4 4 0 |
| 74.60 | 17 | 5 5 3 |
| 78.27 | 13 | 8 0 0 |
| 89.77 | 13 | 8 4 0 |

Atomic structure:
a = 9.771 Å, b = 9.771 Å, c = 9.771 Å
α = 90.00°, β = 90.00°, γ = 90.00°
Space group F-43m (No. 216)
One atom of each set of equivalent atoms:
Mn 0.000 0.000 0.000 (multiplicity 4)
Mn 0.120 0.120 0.380 (multiplicity 16)
Co 0.250 0.250 0.750 (multiplicity 4)
S 0.121 0.121 0.621 (multiplicity 16)
S 0.135 0.135 0.135 (multiplicity 16)

---

Record 8
Diffraction record for Pm2NpPt9. The XRD peak list is simulated, not measured: it uses a DFT-relaxed cell (GGA-PBE, Alexandria) and λ = 1.5418 Å (Cu Kα).
No peak broadening, texture or thermal motion is included.

Most intense lines, 2θ = 15–90°, low angle first:
| 2θ (°) | I/Imax | (hkl) |
| --- | --- | --- |
| 32.84 | 18 | 0 1 8 |
| 32.96 | 22 | 1 1 0 |
| 38.39 | 30 | 0 2 1 |
| 38.80 | 100 | 1 1 6 |
| 40.44 | 27 | 0 0 12 |
| 41.93 | 36 | 2 0 5 |
| 45.23 | 18 | 0 2 7 |
| 62.77 | 25 | 0 3 6 |
| 69.13 | 26 | 2 2 0 |
| 83.26 | 21 | 2 2 12 |

Atomic structure:
a = 5.4356 Å, b = 5.4356 Å, c = 26.7642 Å
α = 90.00°, β = 90.00°, γ = 120.00°
Space group R-3m (No. 166, hexagonal axes)
One atom of each set of equivalent atoms:
Pm 0.0000 0.0000 0.1390 (multiplicity 6)
Np 0.0000 0.0000 0.0000 (multiplicity 3)
Pt 0.0000 0.0000 0.3329 (multiplicity 6)
Pt 0.0000 0.0000 0.5000 (multiplicity 3)
Pt 0.0034 0.5017 0.9156 (multiplicity 18)